[1]
Structure and simulated powder diffraction line list of K2Na2Sb2H6O3F10 (DFT lattice parameters and positions (PBE); a wavelength of 1.5418 Å).

Main lines, by angle (2θ = 10–90°):
15.23°, intensity 100
19.89°, intensity 43
20.60°, intensity 36
20.77°, intensity 72
28.52°, intensity 87
28.79°, intensity 72
29.03°, intensity 48
41.12°, intensity 34
41.92°, intensity 38
50.97°, intensity 33

Crystal structure
a b c (Å): 6.1496 17.8539 6.1564
angles (deg): 90.00 91.05 90.00
Positions (direct):
K1 0.2400 0.9999 0.2401
K2 0.2400 0.5001 0.2401
K3 0.7600 0.0001 0.7599
K4 0.7600 0.4999 0.7599
Na1 0.2602 0.1219 0.7391
Na2 0.2602 0.3781 0.7391
Na3 0.7398 0.6219 0.2609
Na4 0.7398 0.8781 0.2609
Sb1 0.2600 0.6294 0.7407
Sb2 0.2600 0.8706 0.7407
Sb3 0.7400 0.1294 0.2593
Sb4 0.7400 0.3706 0.2593
H1 0.1487 0.7065 0.1862
H2 0.1487 0.7935 0.1862
H3 0.1847 0.2065 0.1471
H4 0.1847 0.2935 0.1471
H5 0.3135 0.2500 0.4991
H6 0.4998 0.2500 0.6849
H7 0.5002 0.7500 0.3151
H8 0.6865 0.7500 0.5009
H9 0.8153 0.7065 0.8529
H10 0.8153 0.7935 0.8529
H11 0.8513 0.2065 0.8138
H12 0.8513 0.2935 0.8138
O1 0.2186 0.7500 0.2555
O2 0.2537 0.2500 0.2174
O3 0.3398 0.2500 0.6589
O4 0.6602 0.7500 0.3411
O5 0.7463 0.7500 0.7826
O6 0.7814 0.2500 0.7445
F1 0.0085 0.6355 0.9937
F2 0.0085 0.8645 0.9937
F3 0.0144 0.6027 0.5100
F4 0.0144 0.8973 0.5100
F5 0.2072 0.5194 0.7934
F6 0.2072 0.9806 0.7934
F7 0.4812 0.5873 0.5189
F8 0.4812 0.9128 0.5189
F9 0.4917 0.6027 0.9852
F10 0.4917 0.8973 0.9852
F11 0.5083 0.1027 0.0148
F12 0.5083 0.3973 0.0148
F13 0.5188 0.0872 0.4811
F14 0.5188 0.4128 0.4811
F15 0.7928 0.0194 0.2066
F16 0.7928 0.4806 0.2066
F17 0.9856 0.1027 0.4900
F18 0.9856 0.3973 0.4900
F19 0.9915 0.1355 0.0063
F20 0.9915 0.3645 0.0063

[2]
Structure and simulated powder diffraction line list of K3NbHOF7 (DFT lattice parameters and positions (PBE); a wavelength of 1.5418 Å).

Main lines, by angle (2θ = 10–90°):
16.76°, intensity 61
17.74°, intensity 62
21.05°, intensity 63
25.52°, intensity 75
26.10°, intensity 100
27.45°, intensity 82
27.93°, intensity 70
35.87°, intensity 38
42.86°, intensity 42
44.48°, intensity 38

Crystal structure
a b c (Å): 8.4617 8.4617 6.9985
angles (deg): 92.09 92.09 116.26
Positions (direct):
K1 0.1613 0.8387 0.7500
K2 0.1704 0.3674 0.7763
K3 0.3674 0.1704 0.2763
K4 0.6326 0.8296 0.7237
K5 0.8296 0.6326 0.2237
K6 0.8387 0.1613 0.2500
Nb1 0.3357 0.6643 0.2500
Nb2 0.6643 0.3357 0.7500
H1 0.0000 0.0000 0.0000
H2 0.0000 0.0000 0.5000
O1 0.4588 0.5412 0.2500
O2 0.5412 0.4588 0.7500
F1 0.0950 0.1428 0.4705
F2 0.1014 0.4644 0.1731
F3 0.1428 0.0950 0.9705
F4 0.1873 0.8127 0.2500
F5 0.2788 0.6388 0.5267
F6 0.3612 0.7212 0.9733
F7 0.4644 0.1014 0.6731
F8 0.5356 0.8986 0.3269
F9 0.6388 0.2788 0.0267
F10 0.7212 0.3612 0.4733
F11 0.8127 0.1873 0.7500
F12 0.8572 0.9050 0.0295
F13 0.8986 0.5356 0.8269
F14 0.9050 0.8572 0.5295

[3]
Structure and simulated powder diffraction line list of K2H2OF2 (DFT lattice parameters and positions (PBE); a wavelength of 1.5418 Å).

Main lines, by angle (2θ = 10–90°):
24.00°, intensity 71
30.97°, intensity 51
31.31°, intensity 67
34.80°, intensity 100
35.89°, intensity 81
37.56°, intensity 30
37.75°, intensity 42
38.48°, intensity 45
47.22°, intensity 25
49.15°, intensity 26

Crystal structure
a b c (Å): 3.6099 4.8212 5.8277
angles (deg): 87.87 82.29 81.37
Positions (direct):
K1 0.0043 0.2750 0.2096
K2 0.9957 0.7250 0.7904
H1 0.4745 0.8703 0.3664
H2 0.5255 0.1297 0.6336
O1 0.5000 0.0000 0.5000
F1 0.4195 0.7174 0.1790
F2 0.5805 0.2826 0.8210

[4]
Structure and simulated powder diffraction line list of KH8O4F (DFT lattice parameters and positions (PBE); a wavelength of 1.5418 Å).

Main lines, by angle (2θ = 10–90°):
26.75°, intensity 100
27.01°, intensity 49
30.02°, intensity 47
30.69°, intensity 33
32.32°, intensity 24
38.19°, intensity 37
42.70°, intensity 21
43.11°, intensity 21
44.87°, intensity 25
45.07°, intensity 48

Crystal structure
a b c (Å): 6.8159 13.3172 6.6726
angles (deg): 90.00 90.53 90.00
Positions (direct):
K1 0.1702 0.1294 0.4970
K2 0.1702 0.3706 0.9970
K3 0.8298 0.6294 0.0030
K4 0.8298 0.8706 0.5030
H1 0.0838 0.6612 0.4367
H2 0.0838 0.8388 0.9367
H3 0.1360 0.1316 0.0206
H4 0.1360 0.3684 0.5206
H5 0.2465 0.5893 0.7475
H6 0.2465 0.9107 0.2475
H7 0.2984 0.6091 0.9732
H8 0.2984 0.8909 0.4732
H9 0.3051 0.5069 0.4164
H10 0.3051 0.9931 0.9164
H11 0.3997 0.7474 0.5985
H12 0.3997 0.7526 0.0985
H13 0.4065 0.6685 0.2678
H14 0.4065 0.8315 0.7678
H15 0.4361 0.0897 0.9174
H16 0.4361 0.4103 0.4174
H17 0.5639 0.5897 0.5826
H18 0.5639 0.9103 0.0826
H19 0.5935 0.1685 0.2322
H20 0.5935 0.3315 0.7322
H21 0.6003 0.2474 0.9015
H22 0.6003 0.2526 0.4015
H23 0.6949 0.0069 0.0836
H24 0.6949 0.4931 0.5836
H25 0.7016 0.1091 0.5268
H26 0.7016 0.3909 0.0268
H27 0.7535 0.0893 0.7525
H28 0.7535 0.4107 0.2525
H29 0.8640 0.6316 0.4794
H30 0.8640 0.8684 0.9794
H31 0.9162 0.1612 0.0633
H32 0.9162 0.3388 0.5633
O1 0.0523 0.1754 0.1054
O2 0.0523 0.3246 0.6054
O3 0.2073 0.5707 0.8842
O4 0.2073 0.9293 0.3842
O5 0.3045 0.0647 0.8773
O6 0.3045 0.4353 0.3773
O7 0.4478 0.6841 0.1292
O8 0.4478 0.8159 0.6292
O9 0.5522 0.1841 0.3708
O10 0.5522 0.3159 0.8708
O11 0.6955 0.5647 0.6227
O12 0.6955 0.9353 0.1227
O13 0.7927 0.0707 0.6158
O14 0.7927 0.4293 0.1158
O15 0.9477 0.6754 0.3946
O16 0.9477 0.8246 0.8946
F1 0.3346 0.6304 0.5045
F2 0.3346 0.8696 0.0045
F3 0.6654 0.1304 0.9955
F4 0.6654 0.3696 0.4955

[5]
Structure and simulated powder diffraction line list of KPH3O3F (DFT lattice parameters and positions (PBE); a wavelength of 1.5418 Å).

Main lines, by angle (2θ = 10–90°):
20.87°, intensity 74
22.18°, intensity 39
22.95°, intensity 100
27.47°, intensity 49
28.23°, intensity 35
28.83°, intensity 33
29.10°, intensity 45
29.37°, intensity 62
31.74°, intensity 64
34.96°, intensity 59

Crystal structure
a b c (Å): 6.5851 11.2364 8.0186
angles (deg): 90.00 125.63 90.00
Positions (direct):
K1 0.0681 0.1809 0.4387
K2 0.0681 0.3191 0.9387
K3 0.9319 0.6809 0.0613
K4 0.9319 0.8191 0.5613
P1 0.4067 0.0436 0.2031
P2 0.4067 0.4564 0.7031
P3 0.5933 0.5436 0.2969
P4 0.5933 0.9564 0.7969
H1 0.2802 0.5522 0.7174
H2 0.2802 0.9478 0.2174
H3 0.2843 0.0434 0.8753
H4 0.2843 0.4566 0.3753
H5 0.3989 0.7103 0.0545
H6 0.3989 0.7897 0.5545
H7 0.6011 0.2103 0.4455
H8 0.6011 0.2897 0.9455
H9 0.7157 0.5434 0.6247
H10 0.7157 0.9566 0.1247
H11 0.7198 0.0522 0.7826
H12 0.7198 0.4478 0.2826
O1 0.2393 0.0807 0.9682
O2 0.2393 0.4193 0.4682
O3 0.3322 0.5043 0.2245
O4 0.3322 0.9957 0.7245
O5 0.3959 0.1474 0.3221
O6 0.3959 0.3526 0.8221
O7 0.6041 0.6474 0.1779
O8 0.6041 0.8526 0.6779
O9 0.6678 0.0043 0.2755
O10 0.6678 0.4957 0.7755
O11 0.7607 0.5807 0.5318
O12 0.7607 0.9193 0.0318
F1 0.2320 0.7399 0.4563
F2 0.2320 0.7601 0.9563
F3 0.7680 0.2399 0.0437
F4 0.7680 0.2601 0.5437

[6]
Structure and simulated powder diffraction line list of KPH3O4F (DFT lattice parameters and positions (PBE); a wavelength of 1.5418 Å).

Main lines, by angle (2θ = 10–90°):
21.34°, intensity 100
25.85°, intensity 36
28.75°, intensity 50
28.98°, intensity 30
30.98°, intensity 12
31.87°, intensity 40
33.02°, intensity 24
38.01°, intensity 15
39.28°, intensity 15
40.61°, intensity 12

Crystal structure
a b c (Å): 6.3665 12.4162 7.0146
angles (deg): 90.00 114.95 90.00
Positions (direct):
K1 0.1248 0.1347 0.3908
K2 0.1248 0.3653 0.8908
K3 0.8752 0.6347 0.1092
K4 0.8752 0.8653 0.6092
P1 0.3669 0.6422 0.5941
P2 0.3669 0.8578 0.0941
P3 0.6331 0.1422 0.9059
P4 0.6331 0.3578 0.4059
H1 0.0508 0.6126 0.7013
H2 0.0508 0.8874 0.2013
H3 0.4632 0.7054 0.2776
H4 0.4632 0.7946 0.7776
H5 0.4650 0.5183 0.3117
H6 0.4650 0.9817 0.8117
H7 0.5350 0.0183 0.1883
H8 0.5350 0.4817 0.6883
H9 0.5368 0.2054 0.2224
H10 0.5368 0.2946 0.7224
H11 0.9492 0.1126 0.7987
H12 0.9492 0.3874 0.2987
O1 0.1221 0.6654 0.5722
O2 0.1221 0.8346 0.0722
O3 0.3804 0.6221 0.3840
O4 0.3804 0.8779 0.8840
O5 0.4682 0.2410 0.7945
O6 0.4682 0.2590 0.2945
O7 0.4696 0.5424 0.7458
O8 0.4696 0.9576 0.2458
O9 0.5304 0.0424 0.7542
O10 0.5304 0.4576 0.2542
O11 0.5318 0.7410 0.7055
O12 0.5318 0.7590 0.2055
O13 0.6196 0.1221 0.1160
O14 0.6196 0.3779 0.6160
O15 0.8779 0.1654 0.9278
O16 0.8779 0.3346 0.4278
F1 0.0071 0.0731 0.6974
F2 0.0071 0.4269 0.1974
F3 0.9929 0.5731 0.8026
F4 0.9929 0.9269 0.3026